This entry pairs a crystal structure of ZnAg2N2 with its computed powder diffractogram. Radiation: copper Kα. Structure: a cell relaxed with GGA-PBE.

Cell and atoms:
```
data_ZnAg2N2
_chemical_formula_sum 'Zn4 Ag8 N8'
_space_group_name_H-M_alt 'I 4/m m m'
_space_group_IT_number 139
_space_group_name_Hall '-I 4 2'
_cell_length_a 4.116
_cell_length_b 4.116
_cell_length_c 16.211
_cell_angle_alpha 90.00
_cell_angle_beta 90.00
_cell_angle_gamma 90.00
loop_
_atom_site_label
_atom_site_type_symbol
_atom_site_fract_x
_atom_site_fract_y
_atom_site_fract_z
Zn1 Zn 0.000 0.000 0.132
Ag1 Ag 0.000 0.000 0.295
Ag2 Ag 0.000 0.500 0.000
N1 N 0.000 0.000 0.430
N2 N 0.000 0.500 0.250
```

Principal peaks in the range 15° ≤ 2θ ≤ 90°, by angle:
h k l	2θ/deg	I_rel
0 0 4	21.93	20
1 1 2	32.69	100
1 0 5	35.24	44
1 1 4	38.06	41
2 0 0	43.99	60
1 0 7	44.91	35
2 1 5	57.57	20
2 2 0	63.97	18
2 1 7	64.68	22
3 1 2	73.71	18

---

This entry pairs a crystal structure of DyScPbC with its computed powder diffractogram. Radiation: copper Kα. Structure: a cell relaxed with GGA-PBE.

Cell and atoms:
```
data_DyScPbC
_chemical_formula_sum 'Dy2 Sc2 Pb2 C2'
_space_group_name_H-M_alt 'P -3 m 1'
_space_group_IT_number 164
_space_group_name_Hall '-P 3 2"'
_cell_length_a 3.5178
_cell_length_b 3.5178
_cell_length_c 15.6878
_cell_angle_alpha 90.00
_cell_angle_beta 90.00
_cell_angle_gamma 120.00
loop_
_atom_site_label
_atom_site_type_symbol
_atom_site_fract_x
_atom_site_fract_y
_atom_site_fract_z
Dy1 Dy 0.3333 0.6667 0.0862
Sc1 Sc 0.3333 0.6667 0.4250
Pb1 Pb 0.3333 0.6667 0.7381
C1 C 0.0000 0.0000 0.0000
C2 C 0.0000 0.0000 0.5000
```

Principal peaks in the range 15° ≤ 2θ ≤ 90°, by angle:
h k l	2θ/deg	I_rel
1 0 0	29.32	23
0 1 2	31.50	18
1 0 3	34.06	100
0 0 6	34.30	19
0 1 6	45.73	16
1 1 0	51.99	22
1 0 9	61.27	15
0 2 3	63.62	16
1 1 6	63.77	19
2 1 3	86.56	15

---

This entry pairs a crystal structure of TmAgPb with its computed powder diffractogram. Radiation: copper Kα. Structure: a cell relaxed with GGA-PBE.

Cell and atoms:
```
data_TmAgPb
_chemical_formula_sum 'Tm3 Ag3 Pb3'
_space_group_name_H-M_alt 'P -6 2 m'
_space_group_IT_number 189
_space_group_name_Hall 'P -6 -2'
_cell_length_a 7.4423
_cell_length_b 7.4423
_cell_length_c 4.5432
_cell_angle_alpha 90.00
_cell_angle_beta 90.00
_cell_angle_gamma 120.00
loop_
_atom_site_label
_atom_site_type_symbol
_atom_site_fract_x
_atom_site_fract_y
_atom_site_fract_z
Tm1 Tm 0.0000 0.5671 0.0000
Ag1 Ag 0.0000 0.2452 0.5000
Pb1 Pb 0.0000 0.0000 0.0000
Pb2 Pb 0.3333 0.6667 0.5000
```

Principal peaks in the range 15° ≤ 2θ ≤ 90°, by angle:
h k l	2θ/deg	I_rel
1 1 0	23.93	21
1 1 1	31.07	49
2 0 1	34.11	100
2 1 0	36.90	24
0 0 2	39.68	28
3 0 0	42.07	46
2 1 2	55.26	25
3 0 2	59.19	15
3 2 1	66.51	33
2 0 3	68.45	13

---

This entry pairs a crystal structure of Rb2NiPt2Se4 with its computed powder diffractogram. Radiation: copper Kα. Structure: a cell relaxed with GGA-PBE.

Cell and atoms:
```
data_Rb2NiPt2Se4
_chemical_formula_sum 'Rb8 Ni4 Pt8 Se16'
_space_group_name_H-M_alt 'F m m m'
_space_group_IT_number 69
_space_group_name_Hall '-F 2 2'
_cell_length_a 6.786
_cell_length_b 10.712
_cell_length_c 13.737
_cell_angle_alpha 90.00
_cell_angle_beta 90.00
_cell_angle_gamma 90.00
loop_
_atom_site_label
_atom_site_type_symbol
_atom_site_fract_x
_atom_site_fract_y
_atom_site_fract_z
Rb1 Rb 0.000 0.000 0.145
Ni1 Ni 0.000 0.000 0.500
Pt1 Pt 0.250 0.250 0.000
Se1 Se 0.000 0.163 0.386
```

Principal peaks in the range 15° ≤ 2θ ≤ 90°, by angle:
h k l	2θ/deg	I_rel
0 2 0	16.55	51
0 2 2	21.03	100
1 3 1	28.99	50
2 2 0	31.20	59
2 2 2	33.89	62
1 3 3	34.49	64
2 0 4	37.25	98
2 2 4	41.01	48
2 2 6	51.06	52
2 6 0	58.41	38

---

This entry pairs a crystal structure of Lu4CuBiN2 with its computed powder diffractogram. Radiation: copper Kα. Structure: a cell relaxed with GGA-PBE.

Cell and atoms:
```
data_Lu4CuBiN2
_chemical_formula_sum 'Lu4 Cu1 Bi1 N2'
_space_group_name_H-M_alt 'P -6 m 2'
_space_group_IT_number 187
_space_group_name_Hall 'P -6 2'
_cell_length_a 3.4619
_cell_length_b 3.4619
_cell_length_c 14.2031
_cell_angle_alpha 90.00
_cell_angle_beta 90.00
_cell_angle_gamma 120.00
loop_
_atom_site_label
_atom_site_type_symbol
_atom_site_fract_x
_atom_site_fract_y
_atom_site_fract_z
Lu1 Lu 0.0000 0.0000 0.1389
Lu2 Lu 0.6667 0.3333 0.3218
Cu1 Cu 0.6667 0.3333 0.0000
Bi1 Bi 0.0000 0.0000 0.5000
N1 N 0.3333 0.6667 0.2441
```

Principal peaks in the range 15° ≤ 2θ ≤ 90°, by angle:
h k l	2θ/deg	I_rel
1 0 0	29.80	28
1 0 2	32.41	13
1 0 3	35.44	100
0 0 6	38.01	12
1 0 6	49.03	10
1 1 0	52.89	25
1 0 8	60.62	14
2 0 3	65.29	17
1 1 6	66.99	20
2 1 3	88.78	16

---

This entry pairs a crystal structure of HoAsO4 with its computed powder diffractogram. Radiation: copper Kα. Structure: a cell relaxed with GGA-PBE.

Cell and atoms:
```
data_HoAsO4
_chemical_formula_sum 'Ho2 As2 O8'
_space_group_name_H-M_alt 'P 1 2/c 1'
_space_group_IT_number 13
_cell_length_a 4.704
_cell_length_b 5.401
_cell_length_c 5.385
_cell_angle_alpha 90.00
_cell_angle_beta 90.19
_cell_angle_gamma 90.00
loop_
_space_group_symop_operation_xyz
'x,y,z'
'-x,-y,-z'
'-x,y,-z+1/2'
'x,-y,z+1/2'
loop_
_atom_site_label
_atom_site_type_symbol
_atom_site_fract_x
_atom_site_fract_y
_atom_site_fract_z
Ho1 Ho 0.000 0.249 0.250
As1 As 0.500 0.251 0.750
O1 O 0.260 0.078 0.577
O2 O 0.260 0.422 0.923
```

Principal peaks in the range 15° ≤ 2θ ≤ 90°, by angle:
h k l	2θ/deg	I_rel
1 0 0	18.86	8
0 1 1	23.33	8
1 1 1	30.17	100
0 2 0	33.17	14
0 0 2	33.28	13
0 2 2	47.70	16
2 0 -2	51.52	21
2 0 2	51.70	10
1 3 1	57.43	24
1 1 3	57.61	8

---

This entry pairs a crystal structure of PaTc2As2 with its computed powder diffractogram. Radiation: copper Kα. Structure: a cell relaxed with GGA-PBE.

Cell and atoms:
```
data_PaTc2As2
_chemical_formula_sum 'Pa2 Tc4 As4'
_space_group_name_H-M_alt 'I 4/m m m'
_space_group_IT_number 139
_space_group_name_Hall '-I 4 2'
_cell_length_a 4.306
_cell_length_b 4.306
_cell_length_c 9.776
_cell_angle_alpha 90.00
_cell_angle_beta 90.00
_cell_angle_gamma 90.00
loop_
_atom_site_label
_atom_site_type_symbol
_atom_site_fract_x
_atom_site_fract_y
_atom_site_fract_z
Pa1 Pa 0.000 0.000 0.000
Tc1 Tc 0.000 0.500 0.250
As1 As 0.000 0.000 0.370
```

Principal peaks in the range 15° ≤ 2θ ≤ 90°, by angle:
h k l	2θ/deg	I_rel
1 0 1	22.56	23
1 0 3	34.52	70
1 1 2	34.71	100
2 0 0	41.96	58
1 0 5	51.32	19
2 1 3	55.42	36
2 2 0	60.85	19
1 1 6	64.91	20
2 1 5	68.38	16
3 1 2	71.99	24

---

This entry pairs a crystal structure of GdHo2In3CuGe2 with its computed powder diffractogram. Radiation: copper Kα. Structure: a cell relaxed with GGA-PBE.

Cell and atoms:
```
data_GdHo2In3CuGe2
_chemical_formula_sum 'Gd2 Ho4 In6 Cu2 Ge4'
_space_group_name_H-M_alt 'A m m 2'
_space_group_IT_number 38
_cell_length_a 4.238
_cell_length_b 12.805
_cell_length_c 7.375
_cell_angle_alpha 90.00
_cell_angle_beta 90.00
_cell_angle_gamma 90.00
loop_
_space_group_symop_operation_xyz
'x,y,z'
'-x,-y,z'
'-x,y,z'
'x,-y,z'
'x,y+1/2,z+1/2'
'-x,-y+1/2,z+1/2'
'-x,y+1/2,z+1/2'
'x,-y+1/2,z+1/2'
loop_
_atom_site_label
_atom_site_type_symbol
_atom_site_fract_x
_atom_site_fract_y
_atom_site_fract_z
Gd1 Gd 0.000 0.000 0.000
Ho1 Ho 0.000 0.202 0.394
In1 In 0.500 0.000 0.353
In2 In 0.500 0.121 0.716
Cu1 Cu 0.000 0.000 0.592
Ge1 Ge 0.500 0.168 0.096
```

Principal peaks in the range 15° ≤ 2θ ≤ 90°, by angle:
h k l	2θ/deg	I_rel
1 0 2	32.16	100
1 2 2	35.16	67
0 5 1	37.20	48
0 3 3	42.41	20
2 0 0	42.67	25
1 5 1	43.08	15
1 7 1	56.20	14
2 5 1	57.87	26
2 3 3	61.73	13
1 8 2	67.53	14